For La6Sb4S3O12, a GGA-PBE-relaxed structure gives the calculated powder diffraction line list in this record (Cu Kα).
Neutral-atom scattering factors, no anomalous dispersion.

Main lines, sorted by position (10° ≤ 2θ ≤ 80°):
two_theta	I (rel.)
19.90	20
28.29	25
30.05	100
32.78	29
41.74	13
45.06	20
50.07	38
59.50	14
62.12	9
75.87	9

```
data_La6Sb4S3O12
_space_group_name_H-M_alt 'P 1'
_space_group_IT_number 1
_space_group_name_Hall 'P 1'
_cell_length_a 10.924
_cell_length_b 10.924
_cell_length_c 10.924
_cell_angle_alpha 119.93
_cell_angle_beta 119.93
_cell_angle_gamma 90.12
loop_
_atom_site_label
_atom_site_fract_x
_atom_site_fract_y
_atom_site_fract_z
La1 0.197 0.197 0.000
La2 0.197 0.802 0.997
La3 0.198 0.195 0.394
La4 0.552 0.447 0.497
La5 0.553 0.051 0.106
La6 0.553 0.053 0.500
La7 0.801 0.803 0.606
La8 0.803 0.803 0.000
La9 0.805 0.199 0.003
La10 0.945 0.448 0.894
La11 0.947 0.447 0.500
La12 0.949 0.055 0.503
Sb1 0.160 0.486 0.322
Sb2 0.162 0.840 0.326
Sb3 0.164 0.838 0.678
Sb4 0.236 0.410 0.822
Sb5 0.514 0.836 0.674
Sb6 0.586 0.764 0.174
Sb7 0.588 0.414 0.178
Sb8 0.590 0.412 0.826
S1 0.000 0.000 0.000
S2 0.343 0.125 0.718
S3 0.375 0.657 0.782
S4 0.407 0.625 0.282
S5 0.750 0.250 0.500
S6 0.875 0.593 0.218
O1 0.028 0.967 0.311
O2 0.029 0.716 0.685
O3 0.029 0.969 0.685
O4 0.031 0.716 0.060
O5 0.032 0.344 0.315
O6 0.033 0.344 0.060
O7 0.094 0.282 0.815
O8 0.094 0.283 0.560
O9 0.094 0.534 0.815
O10 0.284 0.344 0.315
O11 0.284 0.968 0.313
O12 0.284 0.972 0.940
O13 0.466 0.279 0.185
O14 0.466 0.281 0.560
O15 0.466 0.906 0.189
O16 0.656 0.716 0.689
O17 0.656 0.971 0.687
O18 0.656 0.971 0.940
O19 0.717 0.278 0.811
O20 0.718 0.534 0.813
O21 0.719 0.279 0.185
O22 0.721 0.906 0.187
O23 0.721 0.906 0.440
O24 0.722 0.534 0.440
```